[1]
For Zn2Cu5Au4, a crystal structure in Alexandria, relaxed with PBE gives the calculated powder XRD pattern in this record (Cu Kα).
No peak broadening, texture or thermal motion is included.

Structure:
```
data_Zn2Cu5Au4
_chemical_formula_sum 'Zn2 Cu5 Au4'
_cell_length_a 6.7047
_cell_length_b 2.8304
_cell_length_c 8.7018
_cell_angle_alpha 90.00
_cell_angle_beta 93.76
_cell_angle_gamma 90.00
_symmetry_space_group_name_H-M 'P 1 2/m 1'
_symmetry_Int_Tables_number 10
_symmetry_space_group_name_Hall '-P 2y'
loop_
_atom_site_label
_atom_site_type_symbol
_atom_site_fract_x
_atom_site_fract_y
_atom_site_fract_z
Zn1 Zn 0.0661 0.0000 0.1423
Cu1 Cu 0.2022 0.0000 0.6641
Cu2 Cu 0.4376 0.0000 0.2080
Cu3 Cu 0.5000 0.0000 0.5000
Au1 Au 0.1778 0.5000 0.3968
Au2 Au 0.2833 0.5000 0.9351
```

The 10 most intense peaks (10 to 80 degrees two-theta), by intensity:
2θ/deg  I (rel.)
39.9  100.0
40.8  92.2
43.0  80.6
42.6  75.3
41.8  73.0
41.1  72.5
23.7  52.7
37.9  46.2
26.6  42.9
25.2  39.3

[2]
For Zn3Cu3Au, a crystal structure in Alexandria, relaxed with PBE gives the calculated powder XRD pattern in this record (Cu Kα).
No peak broadening, texture or thermal motion is included.

Structure:
```
data_Zn3Cu3Au
_chemical_formula_sum 'Zn6 Cu6 Au2'
_cell_length_a 5.0960
_cell_length_b 6.5615
_cell_length_c 6.9170
_cell_angle_alpha 65.13
_cell_angle_beta 69.41
_cell_angle_gamma 75.28
_symmetry_space_group_name_H-M 'P -1'
_symmetry_Int_Tables_number 2
_symmetry_space_group_name_Hall '-P 1'
loop_
_atom_site_label
_atom_site_type_symbol
_atom_site_fract_x
_atom_site_fract_y
_atom_site_fract_z
Zn1 Zn 0.1283 0.4808 0.1452
Zn2 Zn 0.1621 0.6822 0.4017
Zn3 Zn 0.2667 0.0462 0.4356
Cu1 Cu 0.0243 0.0888 0.1331
Cu2 Cu 0.2915 0.2267 0.7232
Cu3 Cu 0.4504 0.8261 0.9841
Au1 Au 0.4085 0.6167 0.7162
```

The 10 most intense peaks (10 to 80 degrees two-theta), by intensity:
2θ/deg  I (rel.)
43.8  100.0
41.1  76.3
42.8  54.7
43.4  49.9
44.3  38.6
44.9  38.5
39.3  30.5
38.2  20.4
37.9  19.2
29.7  17.3

[3]
For Zn8Cu6Au, a crystal structure in Alexandria, relaxed with PBE gives the calculated powder XRD pattern in this record (Cu Kα).
No peak broadening, texture or thermal motion is included.

Structure:
```
data_Zn8Cu6Au
_chemical_formula_sum 'Zn8 Cu6 Au1'
_cell_length_a 9.2215
_cell_length_b 9.2215
_cell_length_c 3.0049
_cell_angle_alpha 90.00
_cell_angle_beta 90.00
_cell_angle_gamma 120.00
_symmetry_space_group_name_H-M 'P -3'
_symmetry_Int_Tables_number 147
_symmetry_space_group_name_Hall '-P 3'
loop_
_atom_site_label
_atom_site_type_symbol
_atom_site_fract_x
_atom_site_fract_y
_atom_site_fract_z
Zn1 Zn 0.0712 0.3078 0.2421
Zn2 Zn 0.3333 0.6667 0.7535
Cu1 Cu 0.0996 0.6115 0.2519
Au1 Au 0.0000 0.0000 0.5000
```

The 10 most intense peaks (10 to 80 degrees two-theta), by intensity:
2θ/deg  I (rel.)
42.4  100.0
40.7  89.5
37.5  63.5
33.7  30.0
52.5  29.1
49.8  27.6
31.8  26.6
45.5  25.5
51.2  23.4
35.7  20.7